1.
Structure and computed powder X-ray diffraction pattern of NbI2Cl8 (the GGA-PBE geometry in Alexandria; Cu Kα).
Lines closer than 0.1° are merged.

Most intense lines, 2θ = 10–90°, low angle first:
- (1 0 1), 15.03°, I = 41
- (0 1 1), 15.75°, I = 100
- (1 -1 0), 21.22°, I = 22
- (1 1 -1), 21.44°, I = 16
- (1 2 0), 23.48°, I = 22
- (2 1 0), 27.59°, I = 22
- (2 2 1), 29.71°, I = 21
- (2 -1 0), 34.61°, I = 18

Lattice parameters (Å, degrees): 6.889 8.024 8.722 82.47 70.48 70.51
Space group P-1 (No. 2)
One atom of each set of equivalent atoms:
Nb: 0.000 0.000 0.000 (multiplicity 1)
I: 0.243 0.381 0.640 (multiplicity 2)
Cl: 0.045 0.960 0.727 (multiplicity 2)
Cl: 0.254 0.176 0.916 (multiplicity 2)
Cl: 0.264 0.561 0.398 (multiplicity 2)
Cl: 0.290 0.741 0.996 (multiplicity 2)

***

2.
Structure and computed powder X-ray diffraction pattern of Nb3ICl7 (the GGA-PBE geometry in Alexandria; Cu Kα).
Lines closer than 0.1° are merged.

Most intense lines, 2θ = 10–90°, low angle first:
- (0 0 1), 11.76°, I = 100
- (1 0 0), 14.77°, I = 60
- (1 0 1), 18.92°, I = 21
- (2 0 1), 32.13°, I = 63
- (2 0 2), 38.38°, I = 43
- (1 0 3), 38.92°, I = 16
- (2 1 1), 41.60°, I = 17
- (0 2 3), 47.24°, I = 17

Lattice parameters (Å, degrees): 6.9269 6.9269 7.5241 90.00 90.00 120.00
Space group P3m1 (No. 156)
One atom of each set of equivalent atoms:
Nb: 0.0560 0.5280 0.0000 (multiplicity 3)
I: 0.3333 0.6667 0.2936 (multiplicity 1)
Cl: 0.1711 0.3422 0.7811 (multiplicity 3)
Cl: 0.3325 0.1663 0.1728 (multiplicity 3)
Cl: 0.6667 0.3333 0.8177 (multiplicity 1)

***

3.
Structure and computed powder X-ray diffraction pattern of Rb2NbI5Cl (the GGA-PBE geometry in Alexandria; Cu Kα).
Lines closer than 0.1° are merged.

Most intense lines, 2θ = 10–90°, low angle first:
- (1 0 1), 13.32°, I = 25
- (2 0 2), 26.82°, I = 100
- (2 2 0), 29.74°, I = 60
- (0 0 4), 33.59°, I = 22
- (4 0 0), 42.56°, I = 22
- (2 2 4), 45.47°, I = 36
- (4 2 2), 51.02°, I = 31
- (4 0 4), 55.28°, I = 19

Lattice parameters (Å, degrees): 8.498 8.498 10.671 90.00 90.00 90.00
Space group I4mm (No. 107)
One atom of each set of equivalent atoms:
Rb: 0.000 0.500 0.000 (multiplicity 4)
Nb: 0.000 0.000 0.246 (multiplicity 2)
I: 0.000 0.000 0.507 (multiplicity 2)
I: 0.237 0.237 0.249 (multiplicity 8)
Cl: 0.000 0.000 0.023 (multiplicity 2)

***

4.
Structure and computed powder X-ray diffraction pattern of NiICl (the GGA-PBE geometry in Alexandria; Cu Kα).
Lines closer than 0.1° are merged.

Most intense lines, 2θ = 10–90°, low angle first:
- (0 1 1), 19.80°, I = 100
- (1 1 1), 33.39°, I = 19
- (1 0 2), 33.88°, I = 50
- (1 0 -3), 34.69°, I = 28
- (0 2 0), 35.33°, I = 28
- (1 1 3), 44.97°, I = 16
- (1 2 2), 49.75°, I = 19
- (1 2 -3), 50.36°, I = 18

Lattice parameters (Å, degrees): 3.594 5.080 9.667 90.00 99.37 90.00
Space group P2_1/m (No. 11)
One atom of each set of equivalent atoms:
Ni: 0.203 0.250 0.393 (multiplicity 2)
I: 0.383 0.750 0.803 (multiplicity 2)
Cl: 0.222 0.750 0.436 (multiplicity 2)